No. 1
# KAcTb4S8
Calculated powder X-ray diffraction pattern, Cu Kα X-rays. Input: a DFT-relaxed cell (PBE, Alexandria).

Structure:
Unit cell a=8.2528 b=8.2528 c=21.1421 alpha=90.00 beta=90.00 gamma=120.00
Space group R3m (No. 160, hexagonal axes)
Asymmetric unit:
K  0.0000  0.0000  0.0000
Ac  0.0000  0.0000  0.6334
Tb  0.0000  0.0000  0.2564
Tb  0.1726  0.3452  0.4623
S  0.0000  0.0000  0.3871
S  0.0000  0.0000  0.8624
S  0.0339  0.5169  0.3925
S  0.1714  0.3429  0.2073

The 10 most intense peaks (2θ = 10–90°), in order of falling intensity:
- 25.01°, rel. 100
- 30.19°, rel. 64
- 13.08°, rel. 56
- 42.55°, rel. 55
- 43.88°, rel. 52
- 24.46°, rel. 48
- 25.28°, rel. 39
- 39.59°, rel. 36
- 39.95°, rel. 31
- 26.33°, rel. 30



No. 2
# K2AcTeS4
Calculated powder X-ray diffraction pattern, Cu Kα X-rays. Input: a DFT-relaxed cell (PBE, Alexandria).

Structure:
Unit cell a=12.1844 b=12.0367 c=8.7416 alpha=90.00 beta=131.62 gamma=90.00
Space group C2/c (No. 15)
Asymmetric unit:
K  0.0000  0.0000  0.0000
K  0.2500  0.2500  0.0000
Ac  0.0000  0.5000  0.0000
Te  0.2500  0.2500  0.5000
S  0.0411  0.2564  0.5167
S  0.2256  0.4779  0.4629

The 10 most intense peaks (2θ = 10–90°), in order of falling intensity:
- 12.19°, rel. 100
- 27.30°, rel. 69
- 29.69°, rel. 55
- 29.35°, rel. 54
- 24.51°, rel. 53
- 25.22°, rel. 47
- 40.77°, rel. 44
- 42.24°, rel. 38
- 12.54°, rel. 29
- 50.25°, rel. 22



No. 3
# KAc2US6
Calculated powder X-ray diffraction pattern, Cu Kα X-rays. Input: a DFT-relaxed cell (PBE, Alexandria).

Structure:
Unit cell a=7.4515 b=7.4515 c=19.4565 alpha=90.00 beta=90.00 gamma=120.00
Space group R3 (No. 146, hexagonal axes)
Asymmetric unit:
K  0.0000  0.0000  0.0000
Ac  0.0000  0.0000  0.2733
Ac  0.0000  0.0000  0.7884
U  0.0000  0.0000  0.4769
S  0.0133  0.3764  0.2137
S  0.0224  0.7427  0.3900

The 10 most intense peaks (2θ = 10–90°), in order of falling intensity:
- 23.88°, rel. 100
- 22.90°, rel. 86
- 36.74°, rel. 73
- 16.48°, rel. 53
- 41.41°, rel. 44
- 42.00°, rel. 43
- 33.32°, rel. 42
- 48.89°, rel. 33
- 14.46°, rel. 32
- 27.61°, rel. 26



No. 4
# KAcVS4
Calculated powder X-ray diffraction pattern, Cu Kα X-rays. Input: a DFT-relaxed cell (PBE, Alexandria).

Structure:
Unit cell a=6.9557 b=6.6053 c=8.9345 alpha=90.00 beta=106.58 gamma=90.00
Space group P2_1/m (No. 11)
Asymmetric unit:
K  0.2181  0.2500  0.4326
Ac  0.2624  0.2500  0.9466
V  0.2863  0.7500  0.1919
S  0.0872  0.7500  0.3438
S  0.1129  0.7500  0.9403
S  0.4980  0.0059  0.2271

The 10 most intense peaks (2θ = 10–90°), in order of falling intensity:
- 10.33°, rel. 100
- 18.91°, rel. 33
- 30.97°, rel. 29
- 27.00°, rel. 25
- 38.37°, rel. 24
- 37.68°, rel. 24
- 31.96°, rel. 22
- 16.95°, rel. 22
- 19.66°, rel. 20
- 34.28°, rel. 19



No. 5
# KAc5Se8
Calculated powder X-ray diffraction pattern, Cu Kα X-rays. Input: a DFT-relaxed cell (PBE, Alexandria).

Structure:
Unit cell a=9.4550 b=9.4550 c=9.4085 alpha=90.00 beta=90.00 gamma=90.00
Space group I-4 (No. 82)
Asymmetric unit:
K  0.0000  0.0000  0.0000
Ac  0.0000  0.5000  0.2500
Ac  0.1306  0.2524  0.6288
Se  0.0756  0.1794  0.3095
Se  0.0781  0.3329  0.9506

The 10 most intense peaks (2θ = 10–90°), in order of falling intensity:
- 29.89°, rel. 100
- 23.08°, rel. 72
- 35.55°, rel. 58
- 35.64°, rel. 41
- 30.02°, rel. 41
- 60.38°, rel. 33
- 42.80°, rel. 31
- 45.05°, rel. 29
- 13.26°, rel. 22
- 49.17°, rel. 21



No. 6
# KSrAc
Calculated powder X-ray diffraction pattern, Cu Kα X-rays. Input: a DFT-relaxed cell (PBE, Alexandria).

Structure:
Unit cell a=4.1312 b=4.1312 c=10.8801 alpha=90.00 beta=90.00 gamma=120.00
Space group P3m1 (No. 156)
Asymmetric unit:
K  0.0000  0.0000  0.0000
Sr  0.6667  0.3333  0.3568
Ac  0.3333  0.6667  0.6586

The 10 most intense peaks (2θ = 10–90°), in order of falling intensity:
- 26.22°, rel. 100
- 29.89°, rel. 78
- 24.55°, rel. 32
- 50.87°, rel. 26
- 41.71°, rel. 25
- 43.83°, rel. 22
- 49.00°, rel. 21
- 24.89°, rel. 20
- 35.24°, rel. 19
- 51.79°, rel. 16



No. 7
# KSrAc2Te4
Calculated powder X-ray diffraction pattern, Cu Kα X-rays. Input: a DFT-relaxed cell (PBE, Alexandria).

Structure:
Unit cell a=8.2790 b=4.7645 c=8.3778 alpha=90.00 beta=108.99 gamma=90.00
Space group P2/m (No. 10)
Asymmetric unit:
K  0.0000  0.0000  0.0000
Sr  0.5000  0.5000  0.0000
Ac  0.0000  0.5000  0.5000
Ac  0.5000  0.0000  0.5000
Te  0.2530  0.0000  0.7468
Te  0.2583  0.5000  0.2602

The 10 most intense peaks (2θ = 10–90°), in order of falling intensity:
- 26.27°, rel. 100
- 37.70°, rel. 39
- 37.33°, rel. 26
- 11.17°, rel. 21
- 46.60°, rel. 14
- 54.06°, rel. 14
- 37.18°, rel. 13
- 60.85°, rel. 13
- 21.83°, rel. 12
- 61.33°, rel. 12



No. 8
# KAc2Te3
Calculated powder X-ray diffraction pattern, Cu Kα X-rays. Input: a DFT-relaxed cell (PBE, Alexandria).

Structure:
Unit cell a=4.7672 b=6.7674 c=14.5720 alpha=90.00 beta=90.00 gamma=90.00
Space group Immm (No. 71)
Asymmetric unit:
K  0.0000  0.0000  0.0000
Ac  0.0000  0.0000  0.3373
Te  0.0000  0.5000  0.0000
Te  0.0000  0.5000  0.3251

The 10 most intense peaks (2θ = 10–90°), in order of falling intensity:
- 26.19°, rel. 100
- 37.49°, rel. 78
- 26.34°, rel. 50
- 46.61°, rel. 21
- 46.00°, rel. 21
- 14.43°, rel. 21
- 67.96°, rel. 21
- 37.01°, rel. 20
- 37.74°, rel. 19
- 61.18°, rel. 19



No. 9
# KAc4Te5
Calculated powder X-ray diffraction pattern, Cu Kα X-rays. Input: a DFT-relaxed cell (PBE, Alexandria).

Structure:
Unit cell a=4.7727 b=4.7727 c=59.5514 alpha=90.00 beta=90.00 gamma=120.00
Space group R-3m (No. 166, hexagonal axes)
Asymmetric unit:
K  0.0000  0.0000  0.0000
Ac  0.0000  0.0000  0.1987
Ac  0.0000  0.0000  0.4032
Te  0.0000  0.0000  0.1024
Te  0.0000  0.0000  0.2948
Te  0.0000  0.0000  0.5000

The 10 most intense peaks (2θ = 10–90°), in order of falling intensity:
- 26.25°, rel. 100
- 37.70°, rel. 40
- 37.22°, rel. 36
- 46.51°, rel. 21
- 61.35°, rel. 19
- 60.68°, rel. 15
- 67.73°, rel. 13
- 54.01°, rel. 12
- 86.44°, rel. 7
- 68.05°, rel. 7



No. 10
# K3Ac3TiTe8
Calculated powder X-ray diffraction pattern, Cu Kα X-rays. Input: a DFT-relaxed cell (PBE, Alexandria).

Structure:
Unit cell a=9.3428 b=9.3428 c=25.3234 alpha=90.00 beta=90.00 gamma=120.00
Space group R-3m (No. 166, hexagonal axes)
Asymmetric unit:
K  0.0000  0.5000  0.0000
Ac  0.0000  0.5000  0.5000
Ti  0.0000  0.0000  0.5000
Te  0.0000  0.0000  0.2425
Te  0.0433  0.5217  0.2328

The 10 most intense peaks (2θ = 10–90°), in order of falling intensity:
- 26.14°, rel. 100
- 10.48°, rel. 65
- 38.54°, rel. 34
- 36.03°, rel. 34
- 33.22°, rel. 25
- 47.17°, rel. 17
- 40.05°, rel. 15
- 45.32°, rel. 14
- 62.49°, rel. 13
- 22.25°, rel. 12



No. 11
# AcLa11
Calculated powder X-ray diffraction pattern, Cu Kα X-rays. Input: a DFT-relaxed cell (PBE, Alexandria).

Structure:
Unit cell a=11.8387 b=11.8387 c=3.7060 alpha=90.00 beta=90.00 gamma=120.00
Space group P6/mmm (No. 191)
Asymmetric unit:
Ac  0.0000  0.0000  0.0000
La  0.0000  0.5000  0.0000
La  0.1734  0.3468  0.5000
La  0.3333  0.6667  0.0000

The 10 most intense peaks (2θ = 10–90°), in order of falling intensity:
- 30.20°, rel. 100
- 29.75°, rel. 58
- 28.41°, rel. 31
- 58.79°, rel. 30
- 53.36°, rel. 22
- 42.90°, rel. 21
- 53.64°, rel. 19
- 35.74°, rel. 18
- 47.47°, rel. 15
- 75.72°, rel. 14



No. 12
# Ac8La3
Calculated powder X-ray diffraction pattern, Cu Kα X-rays. Input: a DFT-relaxed cell (PBE, Alexandria).

Structure:
Unit cell a=13.3994 b=13.3994 c=9.6310 alpha=90.00 beta=90.00 gamma=120.00
Space group R-3 (No. 148, hexagonal axes)
Asymmetric unit:
Ac  0.0000  0.0000  0.2482
Ac  0.0385  0.4560  0.1521
La  0.0000  0.5000  0.5000

The 10 most intense peaks (2θ = 10–90°), in order of falling intensity:
- 26.61°, rel. 100
- 27.51°, rel. 94
- 29.26°, rel. 71
- 33.49°, rel. 56
- 27.79°, rel. 51
- 38.85°, rel. 32
- 22.27°, rel. 30
- 47.14°, rel. 28
- 30.89°, rel. 27
- 58.12°, rel. 26



No. 13
# Ac5La6
Calculated powder X-ray diffraction pattern, Cu Kα X-rays. Input: a DFT-relaxed cell (PBE, Alexandria).

Structure:
Unit cell a=6.7972 b=11.1877 c=12.2554 alpha=90.00 beta=95.25 gamma=90.00
Space group C2/m (No. 12)
Asymmetric unit:
Ac  0.0000  0.0000  0.0000
Ac  0.0000  0.1822  0.5000
Ac  0.0000  0.3352  0.0000
La  0.1981  0.5000  0.2768
La  0.2269  0.1731  0.2466

The 10 most intense peaks (2θ = 10–90°), in order of falling intensity:
- 28.60°, rel. 100
- 34.45°, rel. 57
- 29.27°, rel. 46
- 28.97°, rel. 43
- 31.38°, rel. 39
- 54.18°, rel. 25
- 47.08°, rel. 24
- 47.48°, rel. 24
- 57.98°, rel. 15
- 59.21°, rel. 12



No. 14
# AcLa3
Calculated powder X-ray diffraction pattern, Cu Kα X-rays. Input: a DFT-relaxed cell (PBE, Alexandria).

Structure:
Unit cell a=5.3536 b=5.3536 c=10.7783 alpha=90.00 beta=90.00 gamma=90.00
Space group I4/mmm (No. 139)
Asymmetric unit:
Ac  0.0000  0.0000  0.0000
La  0.0000  0.0000  0.5000
La  0.0000  0.5000  0.2500

The 10 most intense peaks (2θ = 10–90°), in order of falling intensity:
- 28.82°, rel. 100
- 33.48°, rel. 34
- 57.02°, rel. 30
- 47.90°, rel. 25
- 33.25°, rel. 17
- 56.72°, rel. 15
- 59.70°, rel. 13
- 48.07°, rel. 12
- 77.47°, rel. 12
- 89.61°, rel. 9